TlFeWO4: simulated XRD peak list (λ = 1.5418 Å (Cu Kα)), based on DFT lattice parameters and positions (GGA+U).
Peak positions follow from Bragg's law for the DFT cell and can differ from measured ones.

Cell and atoms:
```
TlFeWO4
1.0
5.694 0.000 0.000
0.000 5.635 0.000
-0.066 0.000 7.481
Tl Fe W O
2 2 2 8
direct
0.203 0.250 0.366
0.797 0.750 0.634
0.154 0.750 0.036
0.846 0.250 0.964
0.340 0.250 0.840
0.660 0.750 0.160
0.105 0.005 0.831
0.105 0.495 0.831
0.367 0.750 0.273
0.449 0.250 0.081
0.551 0.750 0.919
0.633 0.250 0.727
0.895 0.505 0.169
0.895 0.995 0.169
```

Most intense lines, 5 to 70 degrees two-theta, by intensity:
2θ = 28.65°, intensity 1000, hkl 1 0 2
2θ = 22.20°, intensity 740, hkl 1 1 0
2θ = 31.76°, intensity 359, hkl 0 2 0
2θ = 25.16°, intensity 285, hkl 1 1 -1
2θ = 43.31°, intensity 219, hkl 1 2 2
2θ = 28.43°, intensity 179, hkl 1 0 -2
2θ = 37.47°, intensity 176, hkl 2 1 1
2θ = 43.17°, intensity 167, hkl 2 1 2
2θ = 51.17°, intensity 161, hkl 1 3 0
2θ = 54.26°, intensity 144, hkl 1 1 4